Diffraction record for Th5SiTe5. The X-ray powder pattern is computed, not measured: it uses a GGA-PBE-relaxed structure and copper Kα.

Structural model:
Cell: 7.588 7.588 8.878 Å, 107.22 107.22 48.43°
Sites, in units of the cell vectors:
Th 0.000 0.000 0.000
Th 0.338 0.338 0.143
Th 0.347 0.347 0.694
Th 0.653 0.653 0.306
Th 0.662 0.662 0.857
Si 0.500 0.500 0.000
Te 0.152 0.152 0.802
Te 0.171 0.171 0.343
Te 0.500 0.500 0.500
Te 0.829 0.829 0.657
Te 0.848 0.848 0.198

Principal peaks in the range 10 to 80 degrees two-theta, by angle:
d (Å), intensity
3.115, 100.0
3.106, 44.4
2.220, 15.9
2.201, 72.0
2.182, 17.0
1.807, 17.2
1.787, 18.5
1.393, 16.6